Starting from the PBE geometry in the Materials Project, the X-ray diffraction stick pattern of Zn5P6H14N2O22 was simulated for Cu Kα.

Cell and atoms:
a = 7.5205 Å, b = 9.8348 Å, c = 10.5133 Å
α = 63.19°, β = 88.59°, γ = 75.28°
Space group P-1 (No. 2)
Unique sites:
1 Zn 0.0000 0.0000 0.0000
2 Zn 0.1290 0.6432 0.5192
3 Zn 0.1585 0.3003 0.1618
4 P 0.2442 0.9395 0.3016
5 P 0.2517 0.5023 0.8477
6 P 0.2559 0.4063 0.3847
7 H 0.2083 0.9431 0.7382
8 H 0.2372 0.0880 0.5815
9 H 0.2592 0.9042 0.5980
10 H 0.3879 0.8441 0.2646
11 H 0.4238 0.5136 0.8837
12 H 0.4239 0.9365 0.6824
13 H 0.4359 0.3354 0.4570
14 N 0.2837 0.9658 0.6511
15 O 0.0697 0.9976 0.1972
16 O 0.1090 0.6559 0.8310
17 O 0.1415 0.2918 0.4786
18 O 0.1855 0.5711 0.3751
19 O 0.1973 0.0786 0.8891
20 O 0.2134 0.8254 0.0167
21 O 0.2134 0.8380 0.4591
22 O 0.2155 0.3515 0.9670
23 O 0.2637 0.4931 0.7055
24 O 0.2694 0.4144 0.2362
25 O 0.3129 0.0802 0.2885

Largest 10 diffraction maxima, by angle, 2θ from 5° to 70°:
| 2theta | I_rel | (hkl) |
| --- | --- | --- |
| 12.24 | 100 | 1 0 0 |
| 14.69 | 19 | 1 0 -1 |
| 17.10 | 34 | 0 1 -1 |
| 17.46 | 26 | -1 1 1 |
| 18.66 | 25 | 0 2 1 |
| 19.57 | 32 | 1 2 1 |
| 24.61 | 33 | 2 0 0 |
| 26.65 | 21 | 0 2 3 |
| 28.50 | 23 | -2 1 1 |
| 31.74 | 23 | 2 2 -1 |